Simulated powder diffraction line list of CoMoF5 for Cu Kα (weighted mean of Kα1 and Kα2), from a DFT-relaxed cell (PBE+U, Alexandria).

Main lines, in order of rising 2θ (2θ = 15–90°):
| 2θ (°) | d_spacing | Rel. int. | h k l |
| --- | --- | --- | --- |
| 21.74 | 4.089 | 100 | 0 0 2 |
| 25.92 | 3.437 | 76 | 0 2 0 |
| 27.31 | 3.265 | 91 | 1 1 0 |
| 34.08 | 2.631 | 25 | 0 2 2 |
| 35.17 | 2.551 | 24 | 1 1 2 |
| 44.31 | 2.044 | 29 | 0 0 4 |
| 46.59 | 1.950 | 35 | 1 3 0 |
| 52.01 | 1.758 | 41 | 0 2 4 |
| 52.83 | 1.733 | 27 | 1 1 4 |
| 66.24 | 1.411 | 22 | 1 3 4 |

Structure:
```
data_CoMoF5
_chemical_formula_sum 'Co2 Mo2 F10'
_cell_length_a 3.711
_cell_length_b 6.874
_cell_length_c 8.177
_cell_angle_alpha 90.00
_cell_angle_beta 90.00
_cell_angle_gamma 90.00
_space_group_name_H-M_alt 'I m m m'
_space_group_IT_number 71
_space_group_name_Hall '-I 2 2'
loop_
_atom_site_label
_atom_site_type_symbol
_atom_site_fract_x
_atom_site_fract_y
_atom_site_fract_z
Co1 Co 0.000 0.000 0.000
Mo1 Mo 0.000 0.000 0.500
F1 F 0.000 0.000 0.250
F2 F 0.000 0.322 0.000
F3 F 0.000 0.500 0.500
```